The following is a computed XRD peak list of LaTb7Th3. It was derived from the GGA-PBE geometry in Alexandria, using Cu Ka.

Most intense lines, 5° ≤ 2θ ≤ 70°, by intensity:
two_theta  d [Å]  I/Imax  (hkl)
30.9  2.895  100  0 2 1
35.9  2.503  67  2 0 2
31.1  2.877  33  0 0 3
61.4  1.510  29  2 2 3
51.5  1.774  24  2 2 0
51.8  1.766  24  0 2 4
61.3  1.513  14  4 0 1
61.6  1.505  14  2 0 5
64.4  1.448  13  0 4 2
17.7  5.007  11  1 0 1

Structural model:
Cell: 7.0974 7.0974 8.6305 Å, 90.00 90.00 120.00°
Space group P3m1 (No. 156)
Asymmetric unit:
La1 0.0000 0.0000 0.0000 [1 per cell]
Tb1 0.1661 0.3321 0.3462 [3 per cell]
Tb2 0.5016 0.0032 0.0038 [3 per cell]
Tb3 0.6667 0.3333 0.3459 [1 per cell]
Th1 0.3348 0.1674 0.6734 [3 per cell]